# 1
Calculated PXRD pattern
Compound: LiFeP3O9
Radiation: Cu Kα
Structure: a crystal structure in the Materials Project, relaxed with PBE+U
Kinematic intensities with the Lorentz-polarization factor, no thermal factor.

Crystal structure
Cell lengths 6.5889, 6.8258, 7.3898 Å; angles 80.37, 86.57, 87.90 degrees
Space group P-1 (No. 2)
Symmetry-distinct sites (fractional):
Li (0.1424, 0.0517, 0.1848) (multiplicity 2)
Fe (0.1741, 0.5742, 0.1407) (multiplicity 2)
P (0.1466, 0.7126, 0.5527) (multiplicity 2)
P (0.3204, 0.3692, 0.7761) (multiplicity 2)
P (0.3648, 0.9232, 0.8011) (multiplicity 2)
O (0.0420, 0.2821, 0.3221) (multiplicity 2)
O (0.1315, 0.7707, 0.3478) (multiplicity 2)
O (0.1489, 0.3911, 0.9208) (multiplicity 2)
O (0.1961, 0.8596, 0.9463) (multiplicity 2)
O (0.2494, 0.4915, 0.5826) (multiplicity 2)
O (0.3232, 0.8411, 0.6128) (multiplicity 2)
O (0.3237, 0.1559, 0.7204) (multiplicity 2)
O (0.4201, 0.1172, 0.1577) (multiplicity 2)
O (0.4755, 0.5640, 0.1865) (multiplicity 2)

The 8 most intense peaks (2θ from 15° to 90°), in order of rising 2θ:
two_theta	I (rel.)	h k l
18.68	34	1 0 -1
19.13	83	1 -1 0
28.44	62	1 1 2
28.69	46	1 0 -2
29.19	40	2 0 1
29.93	41	2 1 0
31.09	100	0 2 -1
33.15	61	0 2 2

***

# 2
Calculated PXRD pattern
Compound: Li2FeNiO4
Radiation: Cu Kα
Structure: a crystal structure in the Materials Project, relaxed with PBE+U
Kinematic intensities with the Lorentz-polarization factor, no thermal factor.

Crystal structure
Cell lengths 5.7836, 8.5604, 5.7823 Å; angles 90.00, 90.00, 90.00 degrees
Space group C222 (No. 21)
Symmetry-distinct sites (fractional):
Li (0.0000, 0.0000, 0.0000) (multiplicity 2)
Li (0.0000, 0.5000, 0.5000) (multiplicity 2)
Li (0.2500, 0.2500, 0.7492) (multiplicity 4)
Fe (0.0000, 0.0000, 0.5000) (multiplicity 2)
Fe (0.0000, 0.5000, 0.0000) (multiplicity 2)
Ni (0.2500, 0.2500, 0.2504) (multiplicity 4)
O (0.0000, 0.2322, 0.5000) (multiplicity 4)
O (0.0000, 0.2662, 0.0000) (multiplicity 4)
O (0.2501, 0.0213, 0.2502) (multiplicity 8)

The 8 most intense peaks (2θ from 15° to 90°), in order of rising 2θ:
two_theta	I (rel.)	h k l
24.12	100	1 1 1
37.54	20	2 2 0
38.47	16	1 3 1
42.23	26	0 4 0
44.30	48	2 0 2
51.07	23	3 1 1
62.86	27	2 4 2
64.45	13	4 0 0

***

# 3
Calculated PXRD pattern
Compound: BaYV4O7
Radiation: Cu Kα
Structure: a crystal structure in the Materials Project, relaxed with PBE+U
Kinematic intensities with the Lorentz-polarization factor, no thermal factor.

Crystal structure
Cell lengths 6.4962, 6.4962, 10.7055 Å; angles 90.00, 90.00, 120.00 degrees
Space group P6_3mc (No. 186)
Symmetry-distinct sites (fractional):
Ba (0.3333, 0.6667, 0.0000) (multiplicity 2)
Y (0.3333, 0.6667, 0.4152) (multiplicity 2)
V (0.0000, 0.0000, 0.4503) (multiplicity 2)
V (0.1785, 0.3570, 0.7144) (multiplicity 6)
O (0.0000, 0.0000, 0.2671) (multiplicity 2)
O (0.0116, 0.5058, 0.8014) (multiplicity 6)
O (0.1590, 0.3180, 0.5288) (multiplicity 6)

The 8 most intense peaks (2θ from 15° to 90°), in order of rising 2θ:
two_theta	I (rel.)	h k l
27.46	44	1 1 0
29.65	52	1 0 3
32.24	100	1 1 2
32.92	55	2 0 1
33.48	18	0 0 4
51.65	26	3 0 2
53.81	35	2 0 5
56.68	32	2 2 0

***

Repeat the third record exactly.
Calculated PXRD pattern
Compound: BaYV4O7
Radiation: Cu Kα
Structure: a crystal structure in the Materials Project, relaxed with PBE+U
Kinematic intensities with the Lorentz-polarization factor, no thermal factor.

Crystal structure
Cell lengths 6.4962, 6.4962, 10.7055 Å; angles 90.00, 90.00, 120.00 degrees
Space group P6_3mc (No. 186)
Symmetry-distinct sites (fractional):
Ba (0.3333, 0.6667, 0.0000) (multiplicity 2)
Y (0.3333, 0.6667, 0.4152) (multiplicity 2)
V (0.0000, 0.0000, 0.4503) (multiplicity 2)
V (0.1785, 0.3570, 0.7144) (multiplicity 6)
O (0.0000, 0.0000, 0.2671) (multiplicity 2)
O (0.0116, 0.5058, 0.8014) (multiplicity 6)
O (0.1590, 0.3180, 0.5288) (multiplicity 6)

The 8 most intense peaks (2θ from 15° to 90°), in order of rising 2θ:
two_theta	I (rel.)	h k l
27.46	44	1 1 0
29.65	52	1 0 3
32.24	100	1 1 2
32.92	55	2 0 1
33.48	18	0 0 4
51.65	26	3 0 2
53.81	35	2 0 5
56.68	32	2 2 0